Entry 1:
La4GeBr4: simulated XRD peak list (CuKα), based on a PBE-relaxed structure.

Largest 12 diffraction maxima, by angle, 15° ≤ 2θ ≤ 90°:
28.98°, rel. 1000; 29.28°, rel. 486; 31.33°, rel. 98; 40.74°, rel. 336; 41.20°, rel. 181; 41.69°, rel. 191; 42.57°, rel. 323; 49.76°, rel. 90; 51.76°, rel. 195; 60.05°, rel. 118; 68.38°, rel. 93; 69.50°, rel. 85

Structure:
```
La4GeBr4
1.0
7.093 -2.167 0.000
7.093 2.167 0.000
-5.634 0.000 9.440
La Ge Br
4 1 4
direct
0.101 0.101 0.420
0.308 0.308 0.219
0.692 0.692 0.781
0.899 0.899 0.580
0.500 0.500 0.500
0.100 0.100 0.897
0.321 0.321 0.727
0.679 0.679 0.273
0.900 0.900 0.103
```

Entry 2:
La8Ge3OsBr4: simulated XRD peak list (CuKα), based on a PBE-relaxed structure.

Largest 12 diffraction maxima, by angle, 15° ≤ 2θ ≤ 90°:
28.35°, rel. 524; 28.47°, rel. 1000; 40.17°, rel. 495; 41.02°, rel. 394; 41.28°, rel. 189; 50.55°, rel. 97; 50.83°, rel. 196; 58.92°, rel. 99; 65.88°, rel. 108; 67.04°, rel. 87; 67.24°, rel. 79; 74.53°, rel. 89

Structure:
```
La8Ge3OsBr4
1.0
7.637 -4.374 0.000
7.637 4.374 0.000
-5.089 0.000 7.415
La Ge Os Br
8 3 1 4
direct
0.225 0.756 0.706
0.235 0.235 0.715
0.244 0.775 0.294
0.260 0.260 0.278
0.740 0.740 0.722
0.756 0.225 0.706
0.765 0.765 0.285
0.775 0.244 0.294
0.000 0.500 0.500
0.500 0.000 0.500
0.500 0.500 0.500
0.000 0.000 0.500
0.000 0.000 0.000
0.000 0.500 0.000
0.500 0.000 0.000
0.500 0.500 0.000
```

Entry 3:
La8Ge3RhBr4: simulated XRD peak list (CuKα), based on a PBE-relaxed structure.

Largest 12 diffraction maxima, by angle, 15° ≤ 2θ ≤ 90°:
24.76°, rel. 84; 28.55°, rel. 1000; 40.58°, rel. 331; 41.01°, rel. 260; 41.16°, rel. 128; 50.68°, rel. 65; 50.82°, rel. 132; 59.17°, rel. 69; 66.56°, rel. 77; 67.12°, rel. 58; 74.41°, rel. 71; 74.61°, rel. 57

Structure:
```
La8Ge3RhBr4
1.0
7.633 -4.386 0.000
7.633 4.386 0.000
-5.081 0.000 7.301
La Ge Rh Br
8 3 1 4
direct
0.231 0.750 0.712
0.238 0.238 0.719
0.250 0.769 0.288
0.259 0.259 0.275
0.741 0.741 0.725
0.750 0.231 0.712
0.762 0.762 0.281
0.769 0.250 0.288
0.000 0.500 0.500
0.500 0.000 0.500
0.500 0.500 0.500
0.000 0.000 0.500
0.000 0.000 0.000
0.000 0.500 0.000
0.500 0.000 0.000
0.500 0.500 0.000
```

Entry 4:
La6GeRh2Br3: simulated XRD peak list (CuKα), based on a PBE-relaxed structure.

Largest 12 diffraction maxima, by angle, 15° ≤ 2θ ≤ 90°:
25.17°, rel. 57; 28.55°, rel. 1000; 36.36°, rel. 98; 39.46°, rel. 313; 42.13°, rel. 371; 49.76°, rel. 57; 51.68°, rel. 185; 55.79°, rel. 59; 59.09°, rel. 92; 65.00°, rel. 82; 68.79°, rel. 149; 75.20°, rel. 88

Structure:
```
La6GeRh2Br3
1.0
3.717 -6.431 0.000
3.717 6.431 0.000
-2.483 0.000 7.720
La Ge Rh Br
6 1 2 3
direct
0.086 0.433 0.796
0.220 0.220 0.204
0.433 0.086 0.796
0.567 0.914 0.204
0.780 0.780 0.796
0.914 0.567 0.204
0.500 0.500 0.000
0.167 0.833 0.000
0.833 0.167 0.000
0.000 0.000 0.500
0.338 0.662 0.500
0.662 0.338 0.500
```

Entry 5:
La8Ge3Se4Br: simulated XRD peak list (CuKα), based on a PBE-relaxed structure.

Largest 12 diffraction maxima, by angle, 15° ≤ 2θ ≤ 90°:
24.89°, rel. 103; 28.85°, rel. 1000; 41.19°, rel. 376; 41.33°, rel. 375; 48.77°, rel. 49; 51.07°, rel. 199; 51.31°, rel. 66; 59.77°, rel. 123; 67.61°, rel. 167; 67.81°, rel. 168; 75.14°, rel. 184; 75.45°, rel. 62

Structure:
```
La8Ge3Se4Br
1.0
4.383 2.531 7.123
-4.383 2.531 7.123
0.000 -5.061 7.123
La Ge Se Br
8 3 4 1
direct
0.237 0.755 0.755
0.245 0.245 0.763
0.245 0.763 0.245
0.248 0.248 0.248
0.752 0.752 0.752
0.755 0.237 0.755
0.755 0.755 0.237
0.763 0.245 0.245
0.000 0.000 0.500
0.000 0.500 0.000
0.500 0.000 0.000
0.000 0.000 0.000
0.000 0.500 0.500
0.500 0.000 0.500
0.500 0.500 0.000
0.500 0.500 0.500
```

Entry 6:
Na2LiGeBr5: simulated XRD peak list (CuKα), based on a PBE-relaxed structure.

Largest 12 diffraction maxima, by angle, 15° ≤ 2θ ≤ 90°:
21.74°, rel. 392; 24.06°, rel. 454; 25.10°, rel. 674; 26.99°, rel. 1000; 28.78°, rel. 883; 29.10°, rel. 508; 31.67°, rel. 698; 33.31°, rel. 770; 33.53°, rel. 524; 42.96°, rel. 817; 46.55°, rel. 432; 49.85°, rel. 389

Structure:
```
Na2LiGeBr5
1.0
2.104 -8.648 0.000
2.104 8.648 0.000
0.000 0.000 14.283
Na Li Ge Br
4 2 2 10
direct
0.099 0.901 0.500
0.155 0.845 0.158
0.845 0.155 0.658
0.901 0.099 0.000
0.228 0.772 0.906
0.772 0.228 0.406
0.450 0.550 0.302
0.550 0.450 0.802
0.068 0.932 0.926
0.265 0.735 0.538
0.303 0.697 0.274
0.375 0.625 0.846
0.490 0.510 0.119
0.510 0.490 0.619
0.625 0.375 0.346
0.697 0.303 0.774
0.735 0.265 0.038
0.932 0.068 0.426
```

Entry 7:
LiGePBr: simulated XRD peak list (CuKα), based on a PBE-relaxed structure.

Largest 12 diffraction maxima, by angle, 15° ≤ 2θ ≤ 90°:
25.30°, rel. 504; 27.52°, rel. 210; 27.79°, rel. 509; 31.81°, rel. 547; 32.51°, rel. 1000; 34.55°, rel. 412; 35.21°, rel. 210; 43.84°, rel. 209; 48.33°, rel. 394; 48.49°, rel. 197; 51.93°, rel. 267; 68.12°, rel. 183

Structure:
```
LiGePBr
1.0
3.755 0.000 0.000
1.877 3.267 0.000
1.871 0.890 7.042
Li Ge P Br
1 1 1 1
direct
0.000 0.000 0.000
0.477 0.514 0.541
0.755 0.808 0.691
0.268 0.290 0.175
```

Entry 8:
LiGePBr: simulated XRD peak list (CuKα), based on a PBE-relaxed structure.

Largest 12 diffraction maxima, by angle, 15° ≤ 2θ ≤ 90°:
24.18°, rel. 257; 29.71°, rel. 1000; 36.61°, rel. 433; 46.12°, rel. 212; 47.82°, rel. 262; 54.29°, rel. 155; 57.33°, rel. 300; 61.70°, rel. 167; 77.81°, rel. 198; 81.63°, rel. 69; 87.94°, rel. 67; 89.20°, rel. 81

Structure:
```
LiGePBr
1.0
3.804 0.000 0.000
-1.902 3.294 0.000
0.000 0.000 7.362
Li Ge P Br
1 1 1 1
direct
0.000 0.000 0.000
0.333 0.667 0.509
0.000 0.000 0.646
0.667 0.333 0.146
```

Entry 9:
Li2TlGeBr6: simulated XRD peak list (CuKα), based on a PBE-relaxed structure.

Largest 12 diffraction maxima, by angle, 15° ≤ 2θ ≤ 90°:
22.02°, rel. 313; 22.92°, rel. 374; 26.43°, rel. 1000; 27.62°, rel. 696; 28.34°, rel. 549; 28.74°, rel. 359; 30.02°, rel. 561; 30.49°, rel. 321; 31.98°, rel. 323; 35.54°, rel. 288; 49.67°, rel. 256; 50.74°, rel. 316

Structure:
```
Li2TlGeBr6
1.0
7.667 -6.332 0.000
7.667 6.332 0.000
-3.659 0.000 7.447
Li Tl Ge Br
4 2 2 12
direct
0.016 0.139 0.160
0.139 0.016 0.660
0.861 0.984 0.340
0.984 0.861 0.840
0.328 0.672 0.750
0.672 0.328 0.250
0.302 0.698 0.250
0.698 0.302 0.750
0.020 0.196 0.485
0.102 0.634 0.947
0.196 0.020 0.985
0.315 0.475 0.316
0.366 0.898 0.553
0.475 0.315 0.816
0.525 0.685 0.184
0.634 0.102 0.447
0.685 0.525 0.684
0.804 0.980 0.015
0.898 0.366 0.053
0.980 0.804 0.515
```

Entry 10:
Mg5GeBr12: simulated XRD peak list (CuKα), based on a PBE-relaxed structure.

Largest 12 diffraction maxima, by angle, 15° ≤ 2θ ≤ 90°:
24.98°, rel. 247; 27.02°, rel. 306; 29.15°, rel. 1000; 32.43°, rel. 510; 36.57°, rel. 275; 41.36°, rel. 266; 46.35°, rel. 135; 46.67°, rel. 214; 46.83°, rel. 354; 57.05°, rel. 116; 57.71°, rel. 174; 75.31°, rel. 120

Structure:
```
Mg5GeBr12
1.0
3.391 -5.877 0.000
3.391 5.877 0.000
-0.015 0.000 14.259
Mg Ge Br
5 1 12
direct
0.000 0.000 0.000
0.167 0.833 0.500
0.333 0.667 0.000
0.667 0.333 0.000
0.833 0.167 0.500
0.500 0.500 0.500
0.000 0.333 0.895
0.000 0.667 0.105
0.151 0.500 0.392
0.152 0.152 0.608
0.333 0.000 0.895
0.334 0.334 0.105
0.500 0.151 0.392
0.500 0.849 0.608
0.666 0.666 0.895
0.667 0.000 0.105
0.848 0.848 0.392
0.849 0.500 0.608
```

Entry 11:
GeBrN: simulated XRD peak list (CuKα), based on a PBE-relaxed structure.

Largest 12 diffraction maxima, by angle, 15° ≤ 2θ ≤ 90°:
24.98°, rel. 1000; 33.14°, rel. 575; 36.93°, rel. 330; 39.84°, rel. 371; 40.74°, rel. 313; 45.72°, rel. 242; 46.51°, rel. 199; 47.04°, rel. 194; 58.75°, rel. 209; 61.44°, rel. 158; 63.30°, rel. 179; 74.36°, rel. 161

Structure:
```
GeBrN
1.0
3.331 0.000 0.000
0.000 3.864 0.000
0.000 0.000 9.251
Ge Br N
2 2 2
direct
0.250 0.250 0.089
0.750 0.750 0.911
0.250 0.750 0.698
0.750 0.250 0.302
0.250 0.750 0.042
0.750 0.250 0.958
```

Entry 12:
PrGeBrN2: simulated XRD peak list (CuKα), based on a PBE-relaxed structure.

Largest 12 diffraction maxima, by angle, 15° ≤ 2θ ≤ 90°:
23.82°, rel. 233; 25.63°, rel. 980; 27.68°, rel. 976; 31.37°, rel. 1000; 32.06°, rel. 580; 34.09°, rel. 989; 34.70°, rel. 366; 42.83°, rel. 460; 44.57°, rel. 443; 53.27°, rel. 308; 57.28°, rel. 277; 62.58°, rel. 246

Structure:
```
PrGeBrN2
1.0
7.478 0.000 0.000
0.000 4.066 0.000
-3.421 0.000 6.901
Pr Ge Br N
2 2 2 4
direct
0.181 0.250 0.455
0.819 0.750 0.545
0.070 0.250 0.909
0.930 0.750 0.091
0.489 0.250 0.268
0.511 0.750 0.732
0.006 0.250 0.650
0.066 0.750 0.936
0.934 0.250 0.064
0.994 0.750 0.350
```

Q: Which formula does entry 1 have?
A: La4GeBr4

Q: Number 3 is which compound?
A: La8Ge3RhBr4